Structure and computed X-ray powder pattern of LiLa (a cell relaxed with PBE; CuKα).

Principal peaks in the range 10 to 90 degrees two-theta, by angle:
- 5.841 Å, I = 100, (0 0 1)
- 4.020 Å, I = 31, (0 1 1)
- 3.068 Å, I = 18, (1 0 1)
- 3.022 Å, I = 56, (1 1 0)
- 2.771 Å, I = 26, (0 2 0)
- 2.684 Å, I = 69, (1 1 1)
- 2.584 Å, I = 33, (0 1 2)
- 2.504 Å, I = 24, (0 2 1)
- 2.269 Å, I = 20, (1 0 2)
- 1.756 Å, I = 18, (1 2 2)

Crystal structure
```
data_LiLa
_cell_length_a 3.6054
_cell_length_b 5.5419
_cell_length_c 5.8413
_cell_angle_alpha 90.00
_cell_angle_beta 90.00
_cell_angle_gamma 90.00
_space_group_name_H-M_alt 'P m m n'
_space_group_IT_number 59
loop_
_space_group_symop_operation_xyz
'x,y,z'
'-x,-y,-z'
'-x+1/2,-y+1/2,z'
'x+1/2,y+1/2,-z'
'x+1/2,-y,-z'
'-x+1/2,y,z'
'-x,y+1/2,-z'
'x,-y+1/2,z'
loop_
_atom_site_label
_atom_site_fract_x
_atom_site_fract_y
_atom_site_fract_z
_atom_site_occupancy
Li1 0.2500 0.2500 0.0760 1
La1 0.2500 0.7500 0.4132 1
```